Entry 1:
This entry pairs a crystal structure of Sr2Ga7Au12 with its theoretical XRD peak list. Radiation: Cu Kα. Structure: a cell relaxed with PBE.
Intensities are scaled so that the largest is 100.

Largest 10 diffraction maxima, in order of falling intensity, 5° ≤ 2θ ≤ 70°:
Position (°2θ)	d/Å	I (rel.)
32.9	2.722	100
33.0	2.713	51
43.5	2.082	36
40.5	2.230	30
41.1	2.195	24
16.9	5.240	22
45.8	1.981	21
44.8	2.025	12
41.3	2.187	12
26.0	3.430	11

Atomic structure:
Unit cell a=4.4593 b=10.4727 c=10.4777 alpha=60.09 beta=89.78 gamma=89.69
Fractional positions:
1 Sr 0.2382 0.1671 0.1671
2 Sr 0.7618 0.8329 0.8329
3 Ga 0.2827 0.1063 0.6068
4 Ga 0.2871 0.7859 0.1058
5 Ga 0.2887 0.6057 0.7856
6 Ga 0.5000 0.5000 0.5000
7 Ga 0.7113 0.3943 0.2144
8 Ga 0.7129 0.2141 0.8942
9 Ga 0.7173 0.8937 0.3932
10 Au 0.2033 0.3681 0.3738
11 Au 0.2052 0.3718 0.7580
12 Au 0.2120 0.7610 0.3665
13 Au 0.2373 0.5678 0.0501
14 Au 0.2401 0.0502 0.8813
15 Au 0.2410 0.8803 0.5688
16 Au 0.7590 0.1197 0.4312
17 Au 0.7599 0.9498 0.1187
18 Au 0.7627 0.4322 0.9499
19 Au 0.7880 0.2390 0.6335
20 Au 0.7948 0.6282 0.2420
21 Au 0.7967 0.6319 0.6262

---

Entry 2:
This entry pairs a crystal structure of Sr5Ga2Au2 with its theoretical XRD peak list. Radiation: Cu Kα. Structure: a cell relaxed with PBE.
Intensities are scaled so that the largest is 100.

Largest 10 diffraction maxima, in order of falling intensity, 5° ≤ 2θ ≤ 70°:
Position (°2θ)	d/Å	I (rel.)
30.0	2.976	100
30.6	2.922	65
21.8	4.074	55
32.0	2.799	50
28.5	3.131	50
33.9	2.643	40
34.3	2.611	39
43.2	2.092	37
43.6	2.077	35
32.0	2.793	35

Atomic structure:
Unit cell a=9.3689 b=9.3689 c=8.4769 alpha=90.00 beta=90.00 gamma=52.91
Fractional positions:
1 Sr 0.0000 0.0000 0.0000
2 Sr 0.0302 0.6855 0.6683
3 Sr 0.1855 0.5302 0.1683
4 Sr 0.3145 0.9698 0.6683
5 Sr 0.4698 0.8145 0.1683
6 Sr 0.5000 0.5000 0.5000
7 Sr 0.5302 0.1855 0.8317
8 Sr 0.6855 0.0302 0.3317
9 Sr 0.8145 0.4698 0.8317
10 Sr 0.9698 0.3145 0.3317
11 Ga 0.1075 0.8925 0.3907
12 Ga 0.3925 0.6075 0.8907
13 Ga 0.6075 0.3925 0.1093
14 Ga 0.8925 0.1075 0.6093
15 Au 0.1982 0.1982 0.0000
16 Au 0.3018 0.3018 0.5000
17 Au 0.6982 0.6982 0.5000
18 Au 0.8018 0.8018 0.0000

---

Entry 3:
This entry pairs a crystal structure of Sr6GaAu2 with its theoretical XRD peak list. Radiation: Cu Kα. Structure: a cell relaxed with PBE.
Intensities are scaled so that the largest is 100.

Largest 10 diffraction maxima, in order of falling intensity, 5° ≤ 2θ ≤ 70°:
Position (°2θ)	d/Å	I (rel.)
29.5	3.031	100
12.4	7.137	46
39.0	2.310	40
32.3	2.774	26
32.1	2.786	26
46.2	1.966	19
55.8	1.647	17
55.6	1.652	16
61.8	1.502	16
62.1	1.495	11

Atomic structure:
Unit cell a=10.9903 b=8.8061 c=7.6569 alpha=83.45 beta=52.75 gamma=43.80
Fractional positions:
1 Sr 0.0402 0.2964 0.7036
2 Sr 0.2964 0.0402 0.9598
3 Sr 0.3686 0.6314 0.3686
4 Sr 0.6314 0.3686 0.6314
5 Sr 0.7036 0.9598 0.0402
6 Sr 0.9598 0.7036 0.2964
7 Ga 0.0000 0.0000 0.0000
8 Au 0.3383 0.3383 0.6617
9 Au 0.6617 0.6617 0.3383

---

Entry 4:
This entry pairs a crystal structure of SrGa2Au10 with its theoretical XRD peak list. Radiation: Cu Kα. Structure: a cell relaxed with PBE.
Intensities are scaled so that the largest is 100.

Largest 10 diffraction maxima, in order of falling intensity, 5° ≤ 2θ ≤ 70°:
Position (°2θ)	d/Å	I (rel.)
37.8	2.382	100
41.1	2.199	68
43.0	2.103	67
36.0	2.493	62
37.3	2.408	56
32.4	2.761	45
39.2	2.296	43
32.1	2.791	36
41.3	2.184	33
13.8	6.398	31

Atomic structure:
Unit cell a=9.5862 b=7.6648 c=6.9804 alpha=81.63 beta=52.28 gamma=46.09
Fractional positions:
1 Sr 0.0000 0.0000 0.0000
2 Ga 0.0000 0.5000 0.0000
3 Ga 0.5000 0.0000 0.5000
4 Au 0.0000 0.0000 0.5000
5 Au 0.0075 0.3376 0.6624
6 Au 0.2711 0.4922 0.5078
7 Au 0.3376 0.0075 0.9925
8 Au 0.4922 0.2711 0.7289
9 Au 0.5000 0.5000 0.0000
10 Au 0.5078 0.7289 0.2711
11 Au 0.6624 0.9925 0.0075
12 Au 0.7289 0.5078 0.4922
13 Au 0.9925 0.6624 0.3376

---

Entry 5:
This entry pairs a crystal structure of Sr2Ga3Au6 with its theoretical XRD peak list. Radiation: Cu Kα. Structure: a cell relaxed with PBE.
Intensities are scaled so that the largest is 100.

Largest 10 diffraction maxima, in order of falling intensity, 5° ≤ 2θ ≤ 70°:
Position (°2θ)	d/Å	I (rel.)
36.3	2.476	100
31.9	2.803	89
42.2	2.141	74
44.0	2.059	67
20.7	4.288	45
24.0	3.707	40
62.6	1.484	35
66.8	1.401	32
37.9	2.374	28
49.1	1.855	23

Atomic structure:
Unit cell a=8.9118 b=8.9118 c=8.9118 alpha=57.53 beta=57.53 gamma=57.53
Fractional positions:
1 Sr 0.0898 0.0898 0.0898
2 Sr 0.4102 0.4102 0.4102
3 Sr 0.5898 0.5898 0.5898
4 Sr 0.9102 0.9102 0.9102
5 Ga 0.0584 0.2500 0.4416
6 Ga 0.2500 0.4416 0.0584
7 Ga 0.4416 0.0584 0.2500
8 Ga 0.5584 0.9416 0.7500
9 Ga 0.7500 0.5584 0.9416
10 Ga 0.9416 0.7500 0.5584
11 Au 0.0226 0.6369 0.2962
12 Au 0.1369 0.5226 0.7962
13 Au 0.2037 0.8631 0.4774
14 Au 0.2962 0.0226 0.6369
15 Au 0.3631 0.7038 0.9774
16 Au 0.4774 0.2037 0.8631
17 Au 0.5226 0.7963 0.1369
18 Au 0.6369 0.2962 0.0226
19 Au 0.7038 0.9774 0.3631
20 Au 0.7962 0.1369 0.5226
21 Au 0.8631 0.4774 0.2037
22 Au 0.9774 0.3631 0.7038

---

Entry 6:
This entry pairs a crystal structure of SrGa4Au2 with its theoretical XRD peak list. Radiation: Cu Kα. Structure: a cell relaxed with PBE.
Intensities are scaled so that the largest is 100.

Largest 10 diffraction maxima, in order of falling intensity, 5° ≤ 2θ ≤ 70°:
Position (°2θ)	d/Å	I (rel.)
34.0	2.636	100
39.1	2.304	63
44.8	2.024	58
34.3	2.613	56
27.8	3.215	52
23.8	3.746	33
37.6	2.394	31
45.1	2.010	28
19.9	4.468	23
48.6	1.873	22

Atomic structure:
Unit cell a=17.8701 b=4.6084 c=6.8870 alpha=90.00 beta=90.00 gamma=90.00
Fractional positions:
1 Sr 0.1389 0.2500 0.0067
2 Sr 0.3611 0.7500 0.5067
3 Sr 0.6389 0.2500 0.4933
4 Sr 0.8611 0.7500 0.9933
5 Ga 0.0384 0.7500 0.8183
6 Ga 0.0701 0.2500 0.4805
7 Ga 0.1835 0.7500 0.3165
8 Ga 0.1872 0.7500 0.7109
9 Ga 0.3128 0.2500 0.2109
10 Ga 0.3165 0.2500 0.8165
11 Ga 0.4299 0.7500 0.9805
12 Ga 0.4616 0.2500 0.3183
13 Ga 0.5384 0.7500 0.6817
14 Ga 0.5701 0.2500 0.0195
15 Ga 0.6835 0.7500 0.1835
16 Ga 0.6872 0.7500 0.7891
17 Ga 0.8128 0.2500 0.2891
18 Ga 0.8165 0.2500 0.6835
19 Ga 0.9299 0.7500 0.5195
20 Ga 0.9616 0.2500 0.1817
21 Au 0.0344 0.7500 0.2424
22 Au 0.2180 0.2500 0.5179
23 Au 0.2820 0.7500 0.0179
24 Au 0.4656 0.2500 0.7424
25 Au 0.5344 0.7500 0.2576
26 Au 0.7180 0.2500 0.9821
27 Au 0.7820 0.7500 0.4821
28 Au 0.9656 0.2500 0.7576